# 1
Diffraction record for LiSnGe2. The PXRD pattern is calculated, not measured: it uses a structure optimized by DFT (GGA-PBE) and copper Kα.

The 6 most intense peaks (2θ from 5° to 70°), in order of rising 2θ:
d_spacing	Position (°2θ)	intensity	(hkl)
3.654	24.4	68	1 0 1
3.381	26.4	43	0 1 2
2.694	33.3	100	1 0 4
2.387	37.7	92	0 1 5
2.172	41.6	91	1 1 0
1.346	69.9	37	1 1 9

Cell: 4.3431 4.3431 15.4417 Å, 90.00 90.00 120.00°
Space group R3m (No. 160, hexagonal axes)
Unique sites:
Li 0.0000 0.0000 0.0000
Sn 0.0000 0.0000 0.8149
Ge 0.0000 0.0000 0.3784
Ge 0.0000 0.0000 0.5882

***

# 2
Diffraction record for Tb5Dy5Er2. The PXRD pattern is calculated, not measured: it uses a structure optimized by DFT (GGA-PBE) and copper Kα.

The 5 most intense peaks (2θ from 5° to 70°), in order of rising 2θ:
d_spacing	Position (°2θ)	intensity	(hkl)
2.886	31.0	100	3 1 1
2.499	35.9	51	0 2 0
1.767	51.7	36	6 0 2
1.507	61.5	43	3 3 1
1.443	64.6	12	6 2 2

Cell: 14.9916 5.0021 11.1744 Å, 90.00 116.56 90.00°
Space group C2/m (No. 12)
Unique sites:
Tb 0.0000 0.0000 0.0000
Tb 0.0832 0.0000 0.7501
Tb 0.1665 0.0000 0.4998
Dy 0.0000 0.5000 0.5000
Dy 0.1667 0.5000 0.0002
Dy 0.2494 0.0000 0.2494
Er 0.0835 0.5000 0.2501